1.
Theoretical X-ray powder pattern
Compound: MnVSiNi
Radiation: a wavelength of 1.5418 Å
Structure: a structure optimized by DFT (GGA-PBE)
Lines closer than 0.1° are merged.

Structural model:
a = 5.6935 Å, b = 5.6935 Å, c = 5.6935 Å
α = 90.00°, β = 90.00°, γ = 90.00°
Fractional coordinates of all 16 atoms:
Mn1 0.0000 0.0000 0.0000
Mn2 0.0000 0.5000 0.5000
Mn3 0.5000 0.0000 0.5000
Mn4 0.5000 0.5000 0.0000
V1 0.2500 0.2500 0.2500
V2 0.2500 0.7500 0.7500
V3 0.7500 0.2500 0.7500
V4 0.7500 0.7500 0.2500
Si1 0.2500 0.2500 0.7500
Si2 0.2500 0.7500 0.2500
Si3 0.7500 0.2500 0.2500
Si4 0.7500 0.7500 0.7500
Ni1 0.0000 0.0000 0.5000
Ni2 0.0000 0.5000 0.0000
Ni3 0.5000 0.0000 0.0000
Ni4 0.5000 0.5000 0.5000

Peak list (8 most intense, 2θ from 10° to 90°, low angle first)
two_theta  Rel. int.  (hkl)
27.13  4  1 1 1
31.42  6  2 0 0
45.04  100  2 2 0
53.37  2  3 1 1
55.95  2  2 2 2
65.59  15  4 0 0
74.54  2  4 2 0
83.11  29  4 2 2

***

2.
Theoretical X-ray powder pattern
Compound: PmErP
Radiation: a wavelength of 1.5418 Å
Structure: a structure optimized by DFT (GGA-PBE)
Lines closer than 0.1° are merged.

Structural model:
a = 3.9379 Å, b = 3.9379 Å, c = 6.4723 Å
α = 90.00°, β = 90.00°, γ = 120.00°
Fractional coordinates of all 3 atoms:
Pm1 0.0000 0.0000 0.0000
Er1 0.6667 0.3333 0.5056
P1 0.3333 0.6667 0.7408

Peak list (8 most intense, 2θ from 10° to 90°, low angle first)
two_theta  Rel. int.  (hkl)
26.13  14  1 0 0
27.56  21  0 0 2
29.61  100  1 0 1
38.34  24  1 0 2
46.10  24  1 1 0
50.03  24  0 1 3
54.56  20  1 1 2
55.75  17  0 2 1

***

3.
Theoretical X-ray powder pattern
Compound: CeDyGaTc
Radiation: a wavelength of 1.5418 Å
Structure: a structure optimized by DFT (GGA-PBE)
Lines closer than 0.1° are merged.

Structural model:
a = 7.0399 Å, b = 7.0399 Å, c = 7.0399 Å
α = 90.00°, β = 90.00°, γ = 90.00°
Fractional coordinates of all 16 atoms:
Ce1 0.0000 0.0000 0.0000
Ce2 0.0000 0.5000 0.5000
Ce3 0.5000 0.0000 0.5000
Ce4 0.5000 0.5000 0.0000
Dy1 0.0000 0.0000 0.5000
Dy2 0.0000 0.5000 0.0000
Dy3 0.5000 0.0000 0.0000
Dy4 0.5000 0.5000 0.5000
Ga1 0.2500 0.2500 0.2500
Ga2 0.2500 0.7500 0.7500
Ga3 0.7500 0.2500 0.7500
Ga4 0.7500 0.7500 0.2500
Tc1 0.2500 0.2500 0.7500
Tc2 0.2500 0.7500 0.2500
Tc3 0.7500 0.2500 0.2500
Tc4 0.7500 0.7500 0.7500

Peak list (8 most intense, 2θ from 10° to 90°, low angle first)
two_theta  Rel. int.  (hkl)
25.30  9  2 0 0
36.09  100  2 2 0
44.59  3  2 2 2
51.96  17  4 0 0
58.65  4  4 2 0
64.89  36  4 2 2
76.55  11  4 4 0
87.67  16  6 2 0

***

4.
Theoretical X-ray powder pattern
Compound: LuU2S3O2
Radiation: a wavelength of 1.5418 Å
Structure: a structure optimized by DFT (GGA-PBE)
Lines closer than 0.1° are merged.

Structural model:
a = 3.7811 Å, b = 3.7811 Å, c = 20.9678 Å
α = 90.00°, β = 90.00°, γ = 90.00°
Fractional coordinates of all 16 atoms:
Lu1 0.0000 0.0000 0.0000
Lu2 0.5000 0.5000 0.5000
U1 0.0000 0.0000 0.3145
U2 0.0000 0.0000 0.6855
U3 0.5000 0.5000 0.1855
U4 0.5000 0.5000 0.8145
S1 0.0000 0.0000 0.1267
S2 0.0000 0.0000 0.5000
S3 0.0000 0.0000 0.8733
S4 0.5000 0.5000 0.0000
S5 0.5000 0.5000 0.3733
S6 0.5000 0.5000 0.6267
O1 0.0000 0.5000 0.2500
O2 0.0000 0.5000 0.7500
O3 0.5000 0.0000 0.2500
O4 0.5000 0.0000 0.7500

Peak list (8 most intense, 2θ from 10° to 90°, low angle first)
two_theta  Rel. int.  (hkl)
25.49  29  0 0 6
26.81  100  1 0 3
31.87  24  1 0 5
33.52  52  1 1 0
38.34  16  1 0 7
42.57  39  1 1 6
48.13  22  2 0 0
55.95  28  2 1 3

***

Copy entry 4 word for word.
Theoretical X-ray powder pattern
Compound: LuU2S3O2
Radiation: a wavelength of 1.5418 Å
Structure: a structure optimized by DFT (GGA-PBE)
Lines closer than 0.1° are merged.

Structural model:
a = 3.7811 Å, b = 3.7811 Å, c = 20.9678 Å
α = 90.00°, β = 90.00°, γ = 90.00°
Fractional coordinates of all 16 atoms:
Lu1 0.0000 0.0000 0.0000
Lu2 0.5000 0.5000 0.5000
U1 0.0000 0.0000 0.3145
U2 0.0000 0.0000 0.6855
U3 0.5000 0.5000 0.1855
U4 0.5000 0.5000 0.8145
S1 0.0000 0.0000 0.1267
S2 0.0000 0.0000 0.5000
S3 0.0000 0.0000 0.8733
S4 0.5000 0.5000 0.0000
S5 0.5000 0.5000 0.3733
S6 0.5000 0.5000 0.6267
O1 0.0000 0.5000 0.2500
O2 0.0000 0.5000 0.7500
O3 0.5000 0.0000 0.2500
O4 0.5000 0.0000 0.7500

Peak list (8 most intense, 2θ from 10° to 90°, low angle first)
two_theta  Rel. int.  (hkl)
25.49  29  0 0 6
26.81  100  1 0 3
31.87  24  1 0 5
33.52  52  1 1 0
38.34  16  1 0 7
42.57  39  1 1 6
48.13  22  2 0 0
55.95  28  2 1 3